Structure and calculated powder diffraction line list of LiMgPbF6 (a PBE-relaxed structure; CuKα).
Kinematic intensities with the Lorentz-polarization factor, no thermal factor.

abc: 5.5838 5.5838 8.8969
angles: 90.00 90.00 120.00
Space group P-31c (No. 163)
Unique sites:
Li 0.0000 0.0000 0.0000
Mg 0.3333 0.6667 0.2500
Pb 0.3333 0.6667 0.7500
F 0.0359 0.3549 0.1268

Main lines, sorted by position (2θ = 10–80°):
- hkl 1 0 0, 2θ 18.3, d 4.836, rel. 42
- hkl 0 0 2, 2θ 20.0, d 4.448, rel. 47
- hkl 1 0 1, 2θ 20.9, d 4.249, rel. 100
- hkl 1 0 2, 2θ 27.2, d 3.274, rel. 38
- hkl 1 1 0, 2θ 32.1, d 2.792, rel. 27
- hkl 1 0 3, 2θ 35.5, d 2.528, rel. 36
- hkl 1 1 2, 2θ 38.1, d 2.365, rel. 66
- hkl 2 0 1, 2θ 38.6, d 2.333, rel. 32
- hkl 3 -1 1, 2θ 51.0, d 1.790, rel. 25
- hkl 1 1 4, 2θ 52.6, d 1.740, rel. 36

---

Structure and calculated powder diffraction line list of Li2MgSbF (a PBE-relaxed structure; CuKα).
Kinematic intensities with the Lorentz-polarization factor, no thermal factor.

abc: 4.235 4.235 4.492
angles: 90.00 90.00 90.00
Space group P4/mmm (No. 123)
Unique sites:
Li 0.000 0.500 0.000
Mg 0.000 0.000 0.500
Sb 0.500 0.500 0.500
F 0.000 0.000 0.000

Main lines, sorted by position (2θ = 10–80°):
- hkl 0 0 1, 2θ 19.8, d 4.492, rel. 64
- hkl 1 0 0, 2θ 21.0, d 4.235, rel. 45
- hkl 1 0 1, 2θ 29.0, d 3.082, rel. 100
- hkl 1 1 0, 2θ 29.8, d 2.995, rel. 86
- hkl 1 1 1, 2θ 36.0, d 2.492, rel. 79
- hkl 2 0 0, 2θ 42.7, d 2.118, rel. 40
- hkl 2 0 1, 2θ 47.5, d 1.916, rel. 26
- hkl 1 1 2, 2θ 50.8, d 1.797, rel. 37
- hkl 2 1 1, 2θ 52.4, d 1.745, rel. 36
- hkl 2 0 2, 2θ 60.0, d 1.541, rel. 28

---

Structure and calculated powder diffraction line list of Li2MgUF8 (a PBE-relaxed structure; CuKα).
Kinematic intensities with the Lorentz-polarization factor, no thermal factor.

abc: 4.743 4.758 6.883
angles: 88.60 88.73 88.46
Space group P-1 (No. 2)
Unique sites:
Li 0.015 0.015 0.312
Mg 0.500 0.500 0.500
U 0.500 0.500 0.000
F 0.187 0.191 0.029
F 0.211 0.213 0.506
F 0.300 0.698 0.737
F 0.304 0.702 0.262

Main lines, sorted by position (2θ = 10–80°):
- hkl 0 0 1, 2θ 12.9, d 6.879, rel. 67
- hkl 0 1 0, 2θ 18.7, d 4.747, rel. 100
- hkl 0 1 1, 2θ 22.5, d 3.949, rel. 45
- hkl 0 1 -1, 2θ 23.0, d 3.866, rel. 38
- hkl 0 0 2, 2θ 25.9, d 3.439, rel. 23
- hkl 1 1 0, 2θ 26.2, d 3.402, rel. 30
- hkl 1 -1 0, 2θ 26.9, d 3.313, rel. 28
- hkl 0 1 2, 2θ 31.8, d 2.816, rel. 24
- hkl 1 -1 2, 2θ 37.7, d 2.386, rel. 44
- hkl 2 1 0, 2θ 42.1, d 2.146, rel. 23